(1)
This entry pairs a crystal structure of Cs2KPrF6 with its computed XRD peak list. Radiation: Cu Ka. Structure: a crystal structure in the Materials Project, relaxed with GGA-PBE.

Crystal structure
```
data_Cs2KPrF6
_chemical_formula_sum 'Cs8 K4 Pr4 F24'
_symmetry_space_group_name_H-M 'F m -3 m'
_symmetry_Int_Tables_number 225
_symmetry_space_group_name_Hall '-F 4 2 3'
_cell_length_a 9.8213
_cell_length_b 9.8213
_cell_length_c 9.8213
_cell_angle_alpha 90.00
_cell_angle_beta 90.00
_cell_angle_gamma 90.00
loop_
_atom_site_label
_atom_site_fract_x
_atom_site_fract_y
_atom_site_fract_z
Cs1 0.2500 0.2500 0.2500
K1 0.0000 0.0000 0.0000
Pr1 0.0000 0.0000 0.5000
F1 0.0000 0.0000 0.2652
```

Principal peaks in the range 10 to 90 degrees two-theta, by intensity:
2θ = 25.66°, I = 100, (2 2 0); 2θ = 45.23°, I = 42, (4 2 2); 2θ = 36.60°, I = 37, (4 0 0); 2θ = 52.72°, I = 24, (4 4 0); 2θ = 71.95°, I = 22, (6 4 2); 2θ = 59.53°, I = 20, (6 2 0); 2θ = 15.63°, I = 16, (1 1 1); 2θ = 83.53°, I = 11, (6 6 0); 2θ = 89.19°, I = 10, (8 4 0); 2θ = 31.56°, I = 9, (2 2 2)

=====

(2)
This entry pairs a crystal structure of Cs2KRuF6 with its computed XRD peak list. Radiation: Cu Ka. Structure: a crystal structure in the Materials Project, relaxed with GGA-PBE.

Crystal structure
```
data_Cs2KRuF6
_chemical_formula_sum 'Cs8 K4 Ru4 F24'
_symmetry_space_group_name_H-M 'F m -3 m'
_symmetry_Int_Tables_number 225
_symmetry_space_group_name_Hall '-F 4 2 3'
_cell_length_a 9.2586
_cell_length_b 9.2586
_cell_length_c 9.2586
_cell_angle_alpha 90.00
_cell_angle_beta 90.00
_cell_angle_gamma 90.00
loop_
_atom_site_label
_atom_site_fract_x
_atom_site_fract_y
_atom_site_fract_z
Cs1 0.2500 0.2500 0.2500
K1 0.0000 0.0000 0.0000
Ru1 0.0000 0.0000 0.5000
F1 0.0000 0.0000 0.2801
```

Principal peaks in the range 10 to 90 degrees two-theta, by intensity:
2θ = 27.24°, I = 100, (2 2 0); 2θ = 48.15°, I = 39, (4 2 2); 2θ = 38.91°, I = 36, (4 0 0); 2θ = 56.20°, I = 22, (4 4 0); 2θ = 77.09°, I = 22, (6 4 2); 2θ = 63.55°, I = 20, (6 2 0); 2θ = 33.53°, I = 14, (2 2 2); 2θ = 16.58°, I = 12, (1 1 1); 2θ = 89.91°, I = 11, (6 6 0); 2θ = 70.46°, I = 7, (4 4 4)

=====

(3)
This entry pairs a crystal structure of CsK2SbF6 with its computed XRD peak list. Radiation: Cu Ka. Structure: a crystal structure in the Materials Project, relaxed with GGA-PBE.

Crystal structure
```
data_CsK2SbF6
_chemical_formula_sum 'Cs4 K8 Sb4 F24'
_symmetry_space_group_name_H-M 'F m -3 m'
_symmetry_Int_Tables_number 225
_symmetry_space_group_name_Hall '-F 4 2 3'
_cell_length_a 9.9884
_cell_length_b 9.9884
_cell_length_c 9.9884
_cell_angle_alpha 90.00
_cell_angle_beta 90.00
_cell_angle_gamma 90.00
loop_
_atom_site_label
_atom_site_fract_x
_atom_site_fract_y
_atom_site_fract_z
Cs1 0.0000 0.0000 0.0000
K1 0.2500 0.2500 0.2500
Sb1 0.0000 0.0000 0.5000
F1 0.0000 0.0000 0.2799
```

Principal peaks in the range 10 to 90 degrees two-theta, by intensity:
2θ = 25.22°, I = 100, (2 2 0); 2θ = 17.76°, I = 57, (2 0 0); 2θ = 35.96°, I = 42, (4 0 0); 2θ = 44.43°, I = 39, (4 2 2); 2θ = 51.77°, I = 26, (4 4 0); 2θ = 40.38°, I = 26, (4 2 0); 2θ = 70.56°, I = 22, (6 4 2); 2θ = 58.44°, I = 21, (6 2 0); 2θ = 55.17°, I = 13, (6 0 0); 2θ = 81.82°, I = 10, (6 6 0)

=====

(4)
This entry pairs a crystal structure of CsK2ScF6 with its computed XRD peak list. Radiation: Cu Ka. Structure: a crystal structure in the Materials Project, relaxed with GGA-PBE.

Crystal structure
```
data_CsK2ScF6
_chemical_formula_sum 'Cs4 K8 Sc4 F24'
_symmetry_space_group_name_H-M 'F m -3 m'
_symmetry_Int_Tables_number 225
_symmetry_space_group_name_Hall '-F 4 2 3'
_cell_length_a 9.6266
_cell_length_b 9.6266
_cell_length_c 9.6266
_cell_angle_alpha 90.00
_cell_angle_beta 90.00
_cell_angle_gamma 90.00
loop_
_atom_site_label
_atom_site_fract_x
_atom_site_fract_y
_atom_site_fract_z
Cs1 0.0000 0.0000 0.0000
K1 0.2500 0.2500 0.2500
Sc1 0.0000 0.0000 0.5000
F1 0.0000 0.0000 0.2888
```

Principal peaks in the range 10 to 90 degrees two-theta, by intensity:
2θ = 26.18°, I = 100, (2 2 0); 2θ = 37.37°, I = 47, (4 0 0); 2θ = 18.43°, I = 43, (2 0 0); 2θ = 46.20°, I = 34, (4 2 2); 2θ = 53.87°, I = 26, (4 4 0); 2θ = 60.86°, I = 21, (6 2 0); 2θ = 30.81°, I = 21, (3 1 1); 2θ = 73.64°, I = 21, (6 4 2); 2θ = 40.86°, I = 19, (3 3 1); 2θ = 41.97°, I = 16, (4 2 0)

=====

(5)
This entry pairs a crystal structure of Cs2KScF6 with its computed XRD peak list. Radiation: Cu Ka. Structure: a crystal structure in the Materials Project, relaxed with GGA-PBE.

Crystal structure
```
data_Cs2KScF6
_chemical_formula_sum 'Cs8 K4 Sc4 F24'
_symmetry_space_group_name_H-M 'F m -3 m'
_symmetry_Int_Tables_number 225
_symmetry_space_group_name_Hall '-F 4 2 3'
_cell_length_a 9.3302
_cell_length_b 9.3302
_cell_length_c 9.3302
_cell_angle_alpha 90.00
_cell_angle_beta 90.00
_cell_angle_gamma 90.00
loop_
_atom_site_label
_atom_site_fract_x
_atom_site_fract_y
_atom_site_fract_z
Cs1 0.2500 0.2500 0.2500
K1 0.0000 0.0000 0.0000
Sc1 0.0000 0.0000 0.5000
F1 0.0000 0.0000 0.2808
```

Principal peaks in the range 10 to 90 degrees two-theta, by intensity:
2θ = 27.03°, I = 100, (2 2 0); 2θ = 38.60°, I = 40, (4 0 0); 2θ = 47.76°, I = 38, (4 2 2); 2θ = 33.26°, I = 32, (2 2 2); 2θ = 55.73°, I = 24, (4 4 0); 2θ = 76.39°, I = 22, (6 4 2); 2θ = 63.01°, I = 20, (6 2 0); 2θ = 19.02°, I = 19, (2 0 0); 2θ = 43.37°, I = 12, (4 2 0); 2θ = 89.03°, I = 10, (6 6 0)

=====

(6)
This entry pairs a crystal structure of CsK2TaF6 with its computed XRD peak list. Radiation: Cu Ka. Structure: a crystal structure in the Materials Project, relaxed with GGA-PBE.

Crystal structure
```
data_CsK2TaF6
_chemical_formula_sum 'Cs4 K8 Ta4 F24'
_symmetry_space_group_name_H-M 'F m -3 m'
_symmetry_Int_Tables_number 225
_symmetry_space_group_name_Hall '-F 4 2 3'
_cell_length_a 9.8222
_cell_length_b 9.8222
_cell_length_c 9.8222
_cell_angle_alpha 90.00
_cell_angle_beta 90.00
_cell_angle_gamma 90.00
loop_
_atom_site_label
_atom_site_fract_x
_atom_site_fract_y
_atom_site_fract_z
Cs1 0.0000 0.0000 0.0000
K1 0.2500 0.2500 0.2500
Ta1 0.0000 0.0000 0.5000
F1 0.0000 0.0000 0.2907
```

Principal peaks in the range 10 to 90 degrees two-theta, by intensity:
2θ = 25.65°, I = 100, (2 2 0); 2θ = 18.06°, I = 64, (2 0 0); 2θ = 45.23°, I = 39, (4 2 2); 2θ = 36.60°, I = 36, (4 0 0); 2θ = 41.10°, I = 28, (4 2 0); 2θ = 71.94°, I = 23, (6 4 2); 2θ = 52.72°, I = 22, (4 4 0); 2θ = 59.52°, I = 22, (6 2 0); 2θ = 56.19°, I = 14, (6 0 0); 2θ = 83.52°, I = 10, (6 6 0)

=====

(7)
This entry pairs a crystal structure of Cs2KTaF6 with its computed XRD peak list. Radiation: Cu Ka. Structure: a crystal structure in the Materials Project, relaxed with GGA-PBE.

Crystal structure
```
data_Cs2KTaF6
_chemical_formula_sum 'Cs8 K4 Ta4 F24'
_symmetry_space_group_name_H-M 'F m -3 m'
_symmetry_Int_Tables_number 225
_symmetry_space_group_name_Hall '-F 4 2 3'
_cell_length_a 9.4158
_cell_length_b 9.4158
_cell_length_c 9.4158
_cell_angle_alpha 90.00
_cell_angle_beta 90.00
_cell_angle_gamma 90.00
loop_
_atom_site_label
_atom_site_fract_x
_atom_site_fract_y
_atom_site_fract_z
Cs1 0.2500 0.2500 0.2500
K1 0.0000 0.0000 0.0000
Ta1 0.0000 0.0000 0.5000
F1 0.0000 0.0000 0.2765
```

Principal peaks in the range 10 to 90 degrees two-theta, by intensity:
2θ = 26.78°, I = 100, (2 2 0); 2θ = 47.29°, I = 41, (4 2 2); 2θ = 38.23°, I = 34, (4 0 0); 2θ = 16.31°, I = 26, (1 1 1); 2θ = 75.57°, I = 22, (6 4 2); 2θ = 55.18°, I = 22, (4 4 0); 2θ = 62.37°, I = 20, (6 2 0); 2θ = 31.51°, I = 11, (3 1 1); 2θ = 88.01°, I = 11, (6 6 0); 2θ = 69.12°, I = 7, (4 4 4)

=====

(8)
This entry pairs a crystal structure of CsK2TiF6 with its computed XRD peak list. Radiation: Cu Ka. Structure: a crystal structure in the Materials Project, relaxed with GGA-PBE.

Crystal structure
```
data_CsK2TiF6
_chemical_formula_sum 'Cs4 K8 Ti4 F24'
_symmetry_space_group_name_H-M 'F m -3 m'
_symmetry_Int_Tables_number 225
_symmetry_space_group_name_Hall '-F 4 2 3'
_cell_length_a 9.5269
_cell_length_b 9.5269
_cell_length_c 9.5269
_cell_angle_alpha 90.00
_cell_angle_beta 90.00
_cell_angle_gamma 90.00
loop_
_atom_site_label
_atom_site_fract_x
_atom_site_fract_y
_atom_site_fract_z
Cs1 0.0000 0.0000 0.0000
K1 0.2500 0.2500 0.2500
Ti1 0.0000 0.0000 0.5000
F1 0.0000 0.0000 0.2914
```

Principal peaks in the range 10 to 90 degrees two-theta, by intensity:
2θ = 26.46°, I = 100, (2 2 0); 2θ = 37.77°, I = 45, (4 0 0); 2θ = 18.63°, I = 44, (2 0 0); 2θ = 46.71°, I = 34, (4 2 2); 2θ = 54.48°, I = 25, (4 4 0); 2θ = 61.57°, I = 22, (6 2 0); 2θ = 74.54°, I = 21, (6 4 2); 2θ = 31.14°, I = 20, (3 1 1); 2θ = 41.31°, I = 18, (3 3 1); 2θ = 42.43°, I = 15, (4 2 0)

=====

(9)
This entry pairs a crystal structure of Cs2KTiF6 with its computed XRD peak list. Radiation: Cu Ka. Structure: a crystal structure in the Materials Project, relaxed with GGA-PBE.

Crystal structure
```
data_Cs2KTiF6
_chemical_formula_sum 'Cs8 K4 Ti4 F24'
_symmetry_space_group_name_H-M 'F m -3 m'
_symmetry_Int_Tables_number 225
_symmetry_space_group_name_Hall '-F 4 2 3'
_cell_length_a 9.2517
_cell_length_b 9.2517
_cell_length_c 9.2517
_cell_angle_alpha 90.00
_cell_angle_beta 90.00
_cell_angle_gamma 90.00
loop_
_atom_site_label
_atom_site_fract_x
_atom_site_fract_y
_atom_site_fract_z
Cs1 0.2500 0.2500 0.2500
K1 0.0000 0.0000 0.0000
Ti1 0.0000 0.0000 0.5000
F1 0.0000 0.0000 0.2835
```

Principal peaks in the range 10 to 90 degrees two-theta, by intensity:
2θ = 27.26°, I = 100, (2 2 0); 2θ = 38.94°, I = 39, (4 0 0); 2θ = 48.19°, I = 37, (4 2 2); 2θ = 33.55°, I = 30, (2 2 2); 2θ = 56.25°, I = 23, (4 4 0); 2θ = 77.15°, I = 21, (6 4 2); 2θ = 63.61°, I = 20, (6 2 0); 2θ = 19.19°, I = 17, (2 0 0); 2θ = 43.76°, I = 11, (4 2 0); 2θ = 89.99°, I = 10, (6 6 0)

=====

(10)
This entry pairs a crystal structure of Cs2KTlF6 with its computed XRD peak list. Radiation: Cu Ka. Structure: a crystal structure in the Materials Project, relaxed with GGA-PBE.

Crystal structure
```
data_Cs2KTlF6
_chemical_formula_sum 'Cs8 K4 Tl4 F24'
_symmetry_space_group_name_H-M 'F m -3 m'
_symmetry_Int_Tables_number 225
_symmetry_space_group_name_Hall '-F 4 2 3'
_cell_length_a 9.5671
_cell_length_b 9.5671
_cell_length_c 9.5671
_cell_angle_alpha 90.00
_cell_angle_beta 90.00
_cell_angle_gamma 90.00
loop_
_atom_site_label
_atom_site_fract_x
_atom_site_fract_y
_atom_site_fract_z
Cs1 0.2500 0.2500 0.2500
K1 0.0000 0.0000 0.0000
Tl1 0.0000 0.0000 0.5000
F1 0.0000 0.0000 0.2697
```

Principal peaks in the range 10 to 90 degrees two-theta, by intensity:
2θ = 26.35°, I = 100, (2 2 0); 2θ = 46.50°, I = 42, (4 2 2); 2θ = 37.61°, I = 34, (4 0 0); 2θ = 16.05°, I = 29, (1 1 1); 2θ = 74.17°, I = 23, (6 4 2); 2θ = 54.24°, I = 22, (4 4 0); 2θ = 61.28°, I = 20, (6 2 0); 2θ = 31.00°, I = 14, (3 1 1); 2θ = 86.27°, I = 11, (6 6 0); 2θ = 67.87°, I = 7, (4 4 4)

=====

(11)
This entry pairs a crystal structure of CsK2YF6 with its computed XRD peak list. Radiation: Cu Ka. Structure: a crystal structure in the Materials Project, relaxed with GGA-PBE.

Crystal structure
```
data_CsK2YF6
_chemical_formula_sum 'Cs4 K8 Y4 F24'
_symmetry_space_group_name_H-M 'F m -3 m'
_symmetry_Int_Tables_number 225
_symmetry_space_group_name_Hall '-F 4 2 3'
_cell_length_a 9.9615
_cell_length_b 9.9615
_cell_length_c 9.9615
_cell_angle_alpha 90.00
_cell_angle_beta 90.00
_cell_angle_gamma 90.00
loop_
_atom_site_label
_atom_site_fract_x
_atom_site_fract_y
_atom_site_fract_z
Cs1 0.0000 0.0000 0.0000
K1 0.2500 0.2500 0.2500
Y1 0.0000 0.0000 0.5000
F1 0.0000 0.0000 0.2806
```

Principal peaks in the range 10 to 90 degrees two-theta, by intensity:
2θ = 25.29°, I = 100, (2 2 0); 2θ = 17.81°, I = 53, (2 0 0); 2θ = 36.07°, I = 45, (4 0 0); 2θ = 44.56°, I = 38, (4 2 2); 2θ = 51.93°, I = 27, (4 4 0); 2θ = 40.50°, I = 23, (4 2 0); 2θ = 70.78°, I = 22, (6 4 2); 2θ = 58.61°, I = 21, (6 2 0); 2θ = 55.34°, I = 11, (6 0 0); 2θ = 82.09°, I = 10, (6 6 0)

=====

(12)
This entry pairs a crystal structure of Cs2KYF6 with its computed XRD peak list. Radiation: Cu Ka. Structure: a crystal structure in the Materials Project, relaxed with GGA-PBE.

Crystal structure
```
data_Cs2KYF6
_chemical_formula_sum 'Cs8 K4 Y4 F24'
_symmetry_space_group_name_H-M 'F m -3 m'
_symmetry_Int_Tables_number 225
_symmetry_space_group_name_Hall '-F 4 2 3'
_cell_length_a 9.6213
_cell_length_b 9.6213
_cell_length_c 9.6213
_cell_angle_alpha 90.00
_cell_angle_beta 90.00
_cell_angle_gamma 90.00
loop_
_atom_site_label
_atom_site_fract_x
_atom_site_fract_y
_atom_site_fract_z
Cs1 0.2500 0.2500 0.2500
K1 0.0000 0.0000 0.0000
Y1 0.0000 0.0000 0.5000
F1 0.0000 0.0000 0.2718
```

Principal peaks in the range 10 to 90 degrees two-theta, by intensity:
2θ = 26.20°, I = 100, (2 2 0); 2θ = 46.23°, I = 41, (4 2 2); 2θ = 37.39°, I = 39, (4 0 0); 2θ = 53.91°, I = 24, (4 4 0); 2θ = 73.68°, I = 22, (6 4 2); 2θ = 60.90°, I = 19, (6 2 0); 2θ = 32.23°, I = 18, (2 2 2); 2θ = 85.67°, I = 11, (6 6 0); 2θ = 67.44°, I = 8, (4 4 4); 2θ = 15.95°, I = 8, (1 1 1)

=====

(13)
This entry pairs a crystal structure of Cs2Li3F5 with its computed XRD peak list. Radiation: Cu Ka. Structure: a crystal structure in the Materials Project, relaxed with GGA-PBE.

Crystal structure
```
data_Cs2Li3F5
_chemical_formula_sum 'Cs4 Li6 F10'
_symmetry_space_group_name_H-M 'A m m 2'
_symmetry_Int_Tables_number 38
_symmetry_space_group_name_Hall 'A 2 -2'
_cell_length_a 4.0504
_cell_length_b 4.1346
_cell_length_c 20.4127
_cell_angle_alpha 90.00
_cell_angle_beta 90.00
_cell_angle_gamma 90.00
loop_
_atom_site_label
_atom_site_fract_x
_atom_site_fract_y
_atom_site_fract_z
Cs1 0.0000 0.0000 0.0000
Cs2 0.5000 0.0000 0.3502
Li1 0.0000 0.0000 0.1548
Li2 0.0000 0.0000 0.7456
Li3 0.5000 0.0000 0.6090
F1 0.0000 0.0000 0.2447
F2 0.0000 0.0000 0.6465
F3 0.0000 0.0000 0.8416
F4 0.5000 0.0000 0.1223
F5 0.5000 0.0000 0.5117
```

Principal peaks in the range 10 to 90 degrees two-theta, by intensity:
2θ = 31.22°, I = 100, (1 1 1); 2θ = 28.13°, I = 63, (1 0 4); 2θ = 25.20°, I = 63, (0 1 3); 2θ = 38.12°, I = 60, (1 1 5); 2θ = 26.19°, I = 44, (0 0 6); 2θ = 44.09°, I = 40, (1 1 7); 2θ = 23.63°, I = 34, (1 0 2); 2θ = 21.93°, I = 24, (0 1 1); 2θ = 44.75°, I = 23, (2 0 0); 2θ = 52.86°, I = 21, (1 2 4)

=====

(14)
This entry pairs a crystal structure of CsLiF2 with its computed XRD peak list. Radiation: Cu Ka. Structure: a crystal structure in the Materials Project, relaxed with GGA-PBE.

Crystal structure
```
data_CsLiF2
_chemical_formula_sum 'Cs8 Li8 F16'
_symmetry_space_group_name_H-M 'C 1 2/c 1'
_symmetry_Int_Tables_number 15
_symmetry_space_group_name_Hall '-C 2yc'
_cell_length_a 6.1315
_cell_length_b 11.9454
_cell_length_c 8.2450
_cell_angle_alpha 90.00
_cell_angle_beta 93.74
_cell_angle_gamma 90.00
loop_
_atom_site_label
_atom_site_fract_x
_atom_site_fract_y
_atom_site_fract_z
Cs1 0.2398 0.0916 0.4326
Li1 0.2461 0.2005 0.8612
F1 0.0000 0.1343 0.7500
F2 0.0000 0.3209 0.2500
F3 0.2237 0.3565 0.9215
```

Principal peaks in the range 10 to 90 degrees two-theta, by intensity:
2θ = 29.22°, I = 100, (2 0 0); 2θ = 36.04°, I = 56, (0 2 3); 2θ = 28.50°, I = 53, (1 3 -1); 2θ = 26.36°, I = 39, (1 1 -2); 2θ = 19.01°, I = 30, (1 1 -1); 2θ = 29.92°, I = 28, (0 4 0); 2θ = 21.60°, I = 27, (0 0 2); 2θ = 27.93°, I = 27, (1 1 2); 2θ = 35.41°, I = 23, (2 0 -2); 2θ = 35.32°, I = 22, (2 2 1)